# 1
# SmMo6Se8
Calculated powder X-ray diffraction pattern, Cu Kα, 1.54184 Å. Input: a crystal structure in the Materials Project, relaxed with PBE.

Most intense lines, 10° ≤ 2θ ≤ 90°, in order of rising 2θ:
two_theta  d [Å]  intensity
13.01  6.803  52
32.32  2.770  44
32.50  2.755  46
39.14  2.302  38
40.05  2.251  74
41.78  2.162  52
44.22  2.048  100
57.53  1.602  38

Structural model:
Unit cell a=6.805 b=6.805 c=6.805 alpha=89.05 beta=89.05 gamma=89.05
Sites, in units of the cell vectors:
Sm1 0.000 0.000 0.000
Mo1 0.235 0.423 0.560
Mo2 0.423 0.560 0.235
Mo3 0.440 0.765 0.577
Mo4 0.560 0.235 0.423
Mo5 0.577 0.440 0.765
Mo6 0.765 0.577 0.440
Se1 0.123 0.755 0.374
Se2 0.239 0.239 0.239
Se3 0.245 0.626 0.877
Se4 0.374 0.123 0.755
Se5 0.626 0.877 0.245
Se6 0.755 0.374 0.123
Se7 0.761 0.761 0.761
Se8 0.877 0.245 0.626


# 2
# Rb2TbO3
Calculated powder X-ray diffraction pattern, Cu Kα, 1.54184 Å. Input: a crystal structure in the Materials Project, relaxed with PBE.

Most intense lines, 10° ≤ 2θ ≤ 90°, in order of rising 2θ:
two_theta  d [Å]  intensity
14.28  6.204  37
26.65  3.345  50
27.74  3.216  100
27.90  3.198  45
30.15  2.964  92
38.97  2.311  57
46.13  1.968  33
56.94  1.617  41

Structural model:
Unit cell a=6.737 b=6.737 c=6.395 alpha=90.00 beta=90.00 gamma=67.05
Sites, in units of the cell vectors:
Rb1 0.025 0.302 0.000
Rb2 0.302 0.025 0.500
Rb3 0.698 0.975 0.000
Rb4 0.975 0.698 0.500
Tb1 0.404 0.596 0.962
Tb2 0.596 0.404 0.462
O1 0.130 0.870 0.871
O2 0.343 0.406 0.231
O3 0.406 0.343 0.731
O4 0.594 0.657 0.231
O5 0.657 0.594 0.731
O6 0.870 0.130 0.371